Theoretical X-ray diffraction stick pattern
Compound: CdS8
Radiation: Cu Kα, 1.54184 Å
Structure: a DFT-relaxed cell (PBE, Alexandria)
Kinematic intensities with the Lorentz-polarization factor, no thermal factor.

Top 8 peaks for 2θ = 10–90°, sorted by position:
16.24 deg, I = 56
17.75 deg, I = 100
25.85 deg, I = 82
29.90 deg, I = 20
32.01 deg, I = 46
32.74 deg, I = 35
39.93 deg, I = 17
49.64 deg, I = 19

Crystal structure
Cell: 5.751 5.751 9.230 Å, 100.98 100.98 73.63°
Element x y z (fractional)
Cd 0.000 0.000 0.000
S 0.007 0.007 0.280
S 0.216 0.216 0.402
S 0.290 0.290 0.054
S 0.379 0.379 0.271
S 0.621 0.621 0.729
S 0.710 0.710 0.946
S 0.784 0.784 0.598
S 0.993 0.993 0.720

---

Theoretical X-ray diffraction stick pattern
Compound: H2S4F
Radiation: Cu Kα, 1.54184 Å
Structure: a DFT-relaxed cell (PBE, Alexandria)
Kinematic intensities with the Lorentz-polarization factor, no thermal factor.

Top 8 peaks for 2θ = 10–90°, sorted by position:
22.58 deg, I = 100
23.32 deg, I = 31
23.47 deg, I = 69
25.64 deg, I = 46
27.89 deg, I = 18
28.33 deg, I = 45
29.15 deg, I = 23
39.69 deg, I = 17

Crystal structure
Cell: 4.420 8.724 8.912 Å, 89.43 87.49 75.39°
Element x y z (fractional)
H 0.000 0.000 0.000
H 0.023 0.459 0.806
H 0.394 0.718 0.307
H 0.909 0.177 0.500
S 0.085 0.749 0.357
S 0.406 0.108 0.073
S 0.423 0.069 0.573
S 0.467 0.545 0.702
S 0.595 0.231 0.467
S 0.739 0.946 0.967
S 0.745 0.428 0.857
S 0.923 0.633 0.202
F 0.330 0.731 0.770
F 0.971 0.447 0.270

---

Theoretical X-ray diffraction stick pattern
Compound: MnCrCuGeOs
Radiation: Cu Kα, 1.54184 Å
Structure: a DFT-relaxed cell (PBE, Alexandria)
Kinematic intensities with the Lorentz-polarization factor, no thermal factor.

Top 8 peaks for 2θ = 10–90°, sorted by position:
14.03 deg, I = 47
24.19 deg, I = 27
41.16 deg, I = 100
42.85 deg, I = 84
43.83 deg, I = 39
46.11 deg, I = 23
47.28 deg, I = 32
84.49 deg, I = 24

Crystal structure
Cell: 2.732 6.598 6.598 Å, 33.89 90.00 90.00°
Element x y z (fractional)
Mn 0.000 0.000 0.000
Cr 0.000 0.817 0.817
Cu 0.500 0.414 0.414
Ge 0.000 0.614 0.614
Os 0.500 0.207 0.207

---

Theoretical X-ray diffraction stick pattern
Compound: NaSr3Pd
Radiation: Cu Kα, 1.54184 Å
Structure: a DFT-relaxed cell (PBE, Alexandria)
Kinematic intensities with the Lorentz-polarization factor, no thermal factor.

Top 8 peaks for 2θ = 10–90°, sorted by position:
11.61 deg, I = 55
14.67 deg, I = 34
18.70 deg, I = 25
25.46 deg, I = 20
25.62 deg, I = 20
29.58 deg, I = 100
33.16 deg, I = 19
42.33 deg, I = 49

Crystal structure
Cell: 8.504 6.038 9.571 Å, 90.00 116.25 90.00°
Element x y z (fractional)
Na 0.120 0.000 0.241
Na 0.880 0.000 0.759
Sr 0.000 0.501 0.500
Sr 0.252 0.501 0.001
Sr 0.370 0.001 0.739
Sr 0.500 0.501 0.500
Sr 0.630 0.001 0.261
Sr 0.748 0.501 0.999
Pd 0.373 0.501 0.749
Pd 0.627 0.501 0.251

---

Theoretical X-ray diffraction stick pattern
Compound: Ce2ZnF11
Radiation: Cu Kα, 1.54184 Å
Structure: a DFT-relaxed cell (PBE, Alexandria)
Kinematic intensities with the Lorentz-polarization factor, no thermal factor.

Top 8 peaks for 2θ = 10–90°, sorted by position:
17.41 deg, I = 23
17.74 deg, I = 26
21.47 deg, I = 16
21.68 deg, I = 20
23.43 deg, I = 17
23.95 deg, I = 100
25.89 deg, I = 25
44.50 deg, I = 15

Crystal structure
Cell: 8.177 8.183 8.620 Å, 105.16 106.75 114.61°
Element x y z (fractional)
Ce 0.082 0.319 0.200
Ce 0.381 0.122 0.702
Ce 0.619 0.878 0.298
Ce 0.918 0.681 0.800
Zn 0.364 0.615 0.750
Zn 0.636 0.385 0.250
F 0.000 0.000 0.000
F 0.073 0.716 0.050
F 0.085 0.550 0.710
F 0.135 0.925 0.755
F 0.168 0.028 0.450
F 0.274 0.442 0.491
F 0.330 0.618 0.253
F 0.338 0.273 0.181
F 0.338 0.375 0.792
F 0.406 0.845 0.676
F 0.450 0.784 0.009
F 0.500 0.000 0.500
F 0.550 0.216 0.991
F 0.594 0.155 0.324
F 0.662 0.625 0.208
F 0.662 0.727 0.819
F 0.670 0.382 0.747
F 0.726 0.558 0.509
F 0.832 0.972 0.550
F 0.865 0.075 0.245
F 0.915 0.450 0.290
F 0.927 0.284 0.950

---

Theoretical X-ray diffraction stick pattern
Compound: Ac2Mn2Te2Se3
Radiation: Cu Kα, 1.54184 Å
Structure: a DFT-relaxed cell (PBE, Alexandria)
Kinematic intensities with the Lorentz-polarization factor, no thermal factor.

Top 8 peaks for 2θ = 10–90°, sorted by position:
21.87 deg, I = 56
24.98 deg, I = 50
27.96 deg, I = 100
30.49 deg, I = 80
35.61 deg, I = 90
43.36 deg, I = 43
45.87 deg, I = 52
51.24 deg, I = 34

Crystal structure
Cell: 10.905 10.905 10.905 Å, 153.27 153.27 38.17°
Element x y z (fractional)
Ac 0.169 0.169 0.000
Ac 0.831 0.831 0.000
Mn 0.000 0.500 0.500
Mn 0.500 0.000 0.500
Te 0.408 0.408 0.000
Te 0.592 0.592 0.000
Se 0.000 0.000 0.000
Se 0.250 0.750 0.500
Se 0.750 0.250 0.500

---

Theoretical X-ray diffraction stick pattern
Compound: BaDyMg2Hg4
Radiation: Cu Kα, 1.54184 Å
Structure: a DFT-relaxed cell (PBE, Alexandria)
Kinematic intensities with the Lorentz-polarization factor, no thermal factor.

Top 8 peaks for 2θ = 10–90°, sorted by position:
21.18 deg, I = 30
23.70 deg, I = 35
31.96 deg, I = 92
35.49 deg, I = 100
37.06 deg, I = 24
39.77 deg, I = 20
48.50 deg, I = 29
61.52 deg, I = 29

Crystal structure
Cell: 10.140 10.140 10.140 Å, 28.89 28.89 28.89°
Element x y z (fractional)
Ba 0.000 0.000 0.000
Dy 0.500 0.500 0.500
Mg 0.236 0.236 0.236
Mg 0.764 0.764 0.764
Hg 0.127 0.127 0.127
Hg 0.394 0.394 0.394
Hg 0.606 0.606 0.606
Hg 0.873 0.873 0.873

---

Theoretical X-ray diffraction stick pattern
Compound: TiOsRu3
Radiation: Cu Kα, 1.54184 Å
Structure: a DFT-relaxed cell (PBE, Alexandria)
Kinematic intensities with the Lorentz-polarization factor, no thermal factor.

Top 8 peaks for 2θ = 10–90°, sorted by position:
28.74 deg, I = 22
35.39 deg, I = 100
41.09 deg, I = 72
50.91 deg, I = 9
59.51 deg, I = 48
71.18 deg, I = 39
74.87 deg, I = 16
89.16 deg, I = 8

Crystal structure
Cell: 4.393 4.393 4.393 Å, 90.00 90.00 90.00°
Element x y z (fractional)
Ti 0.000 0.000 0.000
Os 0.500 0.500 0.500
Ru 0.000 0.000 0.500
Ru 0.000 0.500 0.000
Ru 0.500 0.000 0.000

---

Theoretical X-ray diffraction stick pattern
Compound: La3Co2Ni4
Radiation: Cu Kα, 1.54184 Å
Structure: a DFT-relaxed cell (PBE, Alexandria)
Kinematic intensities with the Lorentz-polarization factor, no thermal factor.

Top 8 peaks for 2θ = 10–90°, sorted by position:
25.56 deg, I = 13
33.76 deg, I = 100
44.20 deg, I = 14
45.06 deg, I = 38
57.47 deg, I = 21
64.96 deg, I = 25
74.62 deg, I = 9
75.87 deg, I = 18

Crystal structure
Cell: 5.743 5.743 8.086 Å, 99.28 99.28 41.02°
Element x y z (fractional)
La 0.000 0.000 0.000
La 0.333 0.333 0.335
La 0.667 0.667 0.665
Co 0.390 0.390 0.723
Co 0.610 0.610 0.277
Ni 0.056 0.056 0.387
Ni 0.279 0.279 0.942
Ni 0.721 0.721 0.058
Ni 0.944 0.944 0.613

---

Theoretical X-ray diffraction stick pattern
Compound: HoAlNi4
Radiation: Cu Kα, 1.54184 Å
Structure: a DFT-relaxed cell (PBE, Alexandria)
Kinematic intensities with the Lorentz-polarization factor, no thermal factor.

Top 8 peaks for 2θ = 10–90°, sorted by position:
30.88 deg, I = 82
35.64 deg, I = 30
41.39 deg, I = 53
42.83 deg, I = 100
46.94 deg, I = 25
61.08 deg, I = 23
64.35 deg, I = 27
68.99 deg, I = 23

Crystal structure
Cell: 5.038 5.038 3.871 Å, 90.00 90.00 120.00°
Element x y z (fractional)
Ho 0.000 0.000 0.000
Al 0.333 0.667 0.000
Ni 0.502 0.004 0.500
Ni 0.502 0.498 0.500
Ni 0.667 0.333 0.000
Ni 0.996 0.498 0.500

---

Theoretical X-ray diffraction stick pattern
Compound: Sr3Ag3Pb
Radiation: Cu Kα, 1.54184 Å
Structure: a DFT-relaxed cell (PBE, Alexandria)
Kinematic intensities with the Lorentz-polarization factor, no thermal factor.

Top 8 peaks for 2θ = 10–90°, sorted by position:
14.65 deg, I = 28
28.48 deg, I = 56
28.96 deg, I = 45
29.21 deg, I = 22
33.00 deg, I = 32
35.14 deg, I = 100
37.60 deg, I = 45
56.59 deg, I = 19

Crystal structure
Cell: 6.509 6.509 16.143 Å, 108.10 108.10 43.13°
Element x y z (fractional)
Sr 0.032 0.032 0.386
Sr 0.107 0.107 0.924
Sr 0.244 0.244 0.228
Sr 0.756 0.756 0.772
Sr 0.893 0.893 0.076
Sr 0.968 0.968 0.614
Ag 0.375 0.375 0.460
Ag 0.395 0.395 0.924
Ag 0.472 0.472 0.774
Ag 0.528 0.528 0.226
Ag 0.605 0.605 0.076
Ag 0.625 0.625 0.540
Pb 0.258 0.258 0.609
Pb 0.742 0.742 0.391

---

Theoretical X-ray diffraction stick pattern
Compound: CeU2Ru4
Radiation: Cu Kα, 1.54184 Å
Structure: a DFT-relaxed cell (PBE, Alexandria)
Kinematic intensities with the Lorentz-polarization factor, no thermal factor.

Top 8 peaks for 2θ = 10–90°, sorted by position:
29.91 deg, I = 100
32.82 deg, I = 50
33.37 deg, I = 83
34.89 deg, I = 60
37.42 deg, I = 52
37.52 deg, I = 37
38.43 deg, I = 64
47.24 deg, I = 59

Crystal structure
Cell: 6.463 6.463 7.756 Å, 111.59 111.59 84.18°
Element x y z (fractional)
Ce 0.000 0.000 0.000
Ce 0.756 0.244 0.500
U 0.270 0.563 0.726
U 0.421 0.056 0.749
U 0.437 0.730 0.274
U 0.944 0.579 0.251
Ru 0.149 0.412 0.908
Ru 0.168 0.027 0.403
Ru 0.288 0.385 0.342
Ru 0.565 0.274 0.104
Ru 0.588 0.851 0.092
Ru 0.615 0.712 0.658
Ru 0.726 0.435 0.896
Ru 0.973 0.832 0.597

---

Theoretical X-ray diffraction stick pattern
Compound: Tb3Al2Au4
Radiation: Cu Kα, 1.54184 Å
Structure: a DFT-relaxed cell (PBE, Alexandria)
Kinematic intensities with the Lorentz-polarization factor, no thermal factor.

Top 8 peaks for 2θ = 10–90°, sorted by position:
31.05 deg, I = 23
31.57 deg, I = 51
33.31 deg, I = 30
33.75 deg, I = 46
34.22 deg, I = 100
38.96 deg, I = 76
39.49 deg, I = 50
51.77 deg, I = 19

Crystal structure
Cell: 5.885 5.885 8.700 Å, 113.34 113.34 45.63°
Element x y z (fractional)
Tb 0.000 0.000 0.000
Tb 0.357 0.357 0.311
Tb 0.643 0.643 0.689
Al 0.346 0.346 0.672
Al 0.654 0.654 0.328
Au 0.083 0.083 0.404
Au 0.284 0.284 0.928
Au 0.716 0.716 0.072
Au 0.917 0.917 0.596